Record 1
Cs2ErCd3F12: computed XRD peak list (Cu Kα, 1.54184 Å), based on the PBE geometry in Alexandria.
Lines closer than 0.1° are merged.

Unit cell a=8.1937 b=8.1937 c=8.1937 alpha=58.50 beta=58.50 gamma=58.50
Element x y z (fractional)
Cs (0.1178, 0.1178, 0.1178)
Cs (0.8822, 0.8822, 0.8822)
Er (0.5000, 0.5000, 0.5000)
Cd (0.0000, 0.5000, 0.5000)
Cd (0.5000, 0.0000, 0.5000)
Cd (0.5000, 0.5000, 0.0000)
F (0.1733, 0.1733, 0.5808)
F (0.1733, 0.5808, 0.1733)
F (0.1811, 0.5722, 0.5722)
F (0.4192, 0.8267, 0.8267)
F (0.4278, 0.4278, 0.8189)
F (0.4278, 0.8189, 0.4278)
F (0.5722, 0.1811, 0.5722)
F (0.5722, 0.5722, 0.1811)
F (0.5808, 0.1733, 0.1733)
F (0.8189, 0.4278, 0.4278)
F (0.8267, 0.4192, 0.8267)
F (0.8267, 0.8267, 0.4192)

The 6 most intense peaks (2θ from 10° to 90°), in order of rising 2θ:
2θ = 25.43°, intensity 66
2θ = 25.86°, intensity 100
2θ = 26.07°, intensity 35
2θ = 27.18°, intensity 61
2θ = 44.24°, intensity 43
2θ = 45.30°, intensity 42

Record 2
Cs2Cd3F8: computed XRD peak list (Cu Kα, 1.54184 Å), based on the PBE geometry in Alexandria.
Lines closer than 0.1° are merged.

Unit cell a=7.8430 b=7.8430 c=6.0783 alpha=107.42 beta=107.42 gamma=53.98
Element x y z (fractional)
Cs (0.2203, 0.2203, 0.1764)
Cs (0.7797, 0.7797, 0.8236)
Cd (0.2425, 0.7575, 0.5000)
Cd (0.5000, 0.5000, 0.0000)
Cd (0.7575, 0.2425, 0.5000)
F (0.1022, 0.1022, 0.4891)
F (0.1969, 0.6231, 0.1184)
F (0.3769, 0.8031, 0.8816)
F (0.4141, 0.4141, 0.5972)
F (0.5859, 0.5859, 0.4028)
F (0.6231, 0.1969, 0.1184)
F (0.8031, 0.3769, 0.8816)
F (0.8978, 0.8978, 0.5109)

The 6 most intense peaks (2θ from 10° to 90°), in order of rising 2θ:
2θ = 22.66°, intensity 100
2θ = 23.80°, intensity 77
2θ = 24.45°, intensity 100
2θ = 28.51°, intensity 60
2θ = 29.55°, intensity 96
2θ = 36.59°, intensity 70

Record 3
Cs3Cd2F7: computed XRD peak list (Cu Kα, 1.54184 Å), based on the PBE geometry in Alexandria.
Lines closer than 0.1° are merged.

Unit cell a=12.4059 b=12.4059 c=12.4059 alpha=158.78 beta=158.78 gamma=30.19
Element x y z (fractional)
Cs (0.0000, 0.0000, 0.0000)
Cs (0.1855, 0.1855, 0.0000)
Cs (0.8145, 0.8145, 0.0000)
Cd (0.4047, 0.4047, 0.0000)
Cd (0.5953, 0.5953, 0.0000)
F (0.0948, 0.5948, 0.5000)
F (0.3110, 0.3110, 0.0000)
F (0.4052, 0.9052, 0.5000)
F (0.5000, 0.5000, 0.0000)
F (0.5948, 0.0948, 0.5000)
F (0.6890, 0.6890, 0.0000)
F (0.9052, 0.4052, 0.5000)

The 6 most intense peaks (2θ from 10° to 90°), in order of rising 2θ:
2θ = 26.97°, intensity 100
2θ = 27.61°, intensity 60
2θ = 39.44°, intensity 36
2θ = 47.23°, intensity 18
2θ = 48.43°, intensity 40
2θ = 55.59°, intensity 17

Record 4
CsCd2HgF8: computed XRD peak list (Cu Kα, 1.54184 Å), based on the PBE geometry in Alexandria.
Lines closer than 0.1° are merged.

Unit cell a=4.9311 b=7.5133 c=5.7727 alpha=90.00 beta=94.09 gamma=90.00
Element x y z (fractional)
Cs (0.0000, 0.0000, 0.0000)
Cd (0.5000, 0.2621, 0.5000)
Cd (0.5000, 0.7379, 0.5000)
Hg (0.0000, 0.5000, 0.0000)
F (0.1179, 0.3055, 0.2641)
F (0.1179, 0.6945, 0.2641)
F (0.3817, 0.5000, 0.7230)
F (0.4361, 0.0000, 0.7053)
F (0.5639, 0.0000, 0.2947)
F (0.6183, 0.5000, 0.2770)
F (0.8821, 0.3055, 0.7359)
F (0.8821, 0.6945, 0.7359)

The 6 most intense peaks (2θ from 10° to 90°), in order of rising 2θ:
2θ = 22.93°, intensity 97
2θ = 24.63°, intensity 75
2θ = 28.37°, intensity 100
2θ = 29.93°, intensity 58
2θ = 42.68°, intensity 51
2θ = 44.66°, intensity 39

Record 5
Cs3KCd2F8: computed XRD peak list (Cu Kα, 1.54184 Å), based on the PBE geometry in Alexandria.
Lines closer than 0.1° are merged.

Unit cell a=6.7364 b=6.7364 c=8.6561 alpha=90.00 beta=90.00 gamma=120.00
Element x y z (fractional)
Cs (0.0000, 0.0000, 0.0000)
Cs (0.3333, 0.6667, 0.6299)
Cs (0.6667, 0.3333, 0.3701)
K (0.0000, 0.0000, 0.5000)
Cd (0.3333, 0.6667, 0.1908)
Cd (0.6667, 0.3333, 0.8092)
F (0.1704, 0.3408, 0.3079)
F (0.1704, 0.8296, 0.3079)
F (0.3333, 0.6667, 0.9486)
F (0.3408, 0.1704, 0.6921)
F (0.6592, 0.8296, 0.3079)
F (0.6667, 0.3333, 0.0514)
F (0.8296, 0.1704, 0.6921)
F (0.8296, 0.6592, 0.6921)

The 6 most intense peaks (2θ from 10° to 90°), in order of rising 2θ:
2θ = 25.63°, intensity 76
2θ = 26.46°, intensity 100
2θ = 34.68°, intensity 19
2θ = 37.17°, intensity 46
2θ = 46.21°, intensity 30
2θ = 46.71°, intensity 21

Record 6
Cs3LiCd2F9: computed XRD peak list (Cu Kα, 1.54184 Å), based on the PBE geometry in Alexandria.
Lines closer than 0.1° are merged.

Unit cell a=6.2990 b=6.2990 c=7.7639 alpha=90.00 beta=90.00 gamma=120.00
Element x y z (fractional)
Cs (0.0000, 0.0000, 0.0000)
Cs (0.3333, 0.6667, 0.6565)
Cs (0.6667, 0.3333, 0.3435)
Li (0.0000, 0.0000, 0.5000)
Cd (0.3333, 0.6667, 0.1744)
Cd (0.6667, 0.3333, 0.8256)
F (0.0000, 0.5000, 0.0000)
F (0.1647, 0.3293, 0.3318)
F (0.1647, 0.8353, 0.3318)
F (0.3293, 0.1647, 0.6682)
F (0.5000, 0.0000, 0.0000)
F (0.5000, 0.5000, 0.0000)
F (0.6707, 0.8353, 0.3318)
F (0.8353, 0.1647, 0.6682)
F (0.8353, 0.6707, 0.6682)

The 6 most intense peaks (2θ from 10° to 90°), in order of rising 2θ:
2θ = 28.22°, intensity 100
2θ = 28.34°, intensity 96
2θ = 40.42°, intensity 74
2θ = 50.12°, intensity 60
2θ = 58.35°, intensity 22
2θ = 58.62°, intensity 23